Diffraction record for CaMn3C4O12. The XRD peak list is simulated, not measured: it uses a structure optimized by DFT (GGA+U) and a wavelength of 1.5418 Å.
Peak positions follow from Bragg's law for the DFT cell and can differ from measured ones.

Most intense lines, 2θ = 10–90°, low angle first:
hkl, two_theta, d_spacing, I_rel
0 2 1, 23.5, 3.783, 21.5
2 1 1, 29.8, 3.000, 17.1
2 0 2, 30.2, 2.958, 100.0
2 2 0, 36.5, 2.461, 17.7
4 0 1, 43.9, 2.063, 13.1
3 1 2, 44.2, 2.049, 19.9
0 2 4, 49.2, 1.850, 20.3
2 2 3, 49.8, 1.830, 22.2

Cell: 9.8434 9.8434 8.2151 Å, 90.00 90.00 120.00°
Space group R32 (No. 155, hexagonal axes)
Symmetry-distinct sites (fractional):
Ca (0.0000, 0.0000, 0.0000) [3 per cell]
Mn (0.0000, 0.5338, 0.0000) [9 per cell]
C (0.0000, 0.0000, 0.5000) [3 per cell]
C (0.0000, 0.4636, 0.5000) [9 per cell]
O (0.9999, 0.2004, 0.1757) [18 per cell]
O (0.0000, 0.5956, 0.5000) [9 per cell]
O (0.0000, 0.8682, 0.5000) [9 per cell]